# Li4Cr5SbO12
Theoretical X-ray diffraction stick pattern, Cu Kα X-rays. Input: a crystal structure in Alexandria, relaxed with PBE+U.
Kinematic intensities with the Lorentz-polarization factor, no thermal factor.

Principal peaks in the range 2θ = 10–80°, sorted by position:
2θ/deg  I_rel
17.1  100.0
34.6  11.6
34.7  14.4
36.0  18.0
41.7  17.7
45.0  14.9
54.3  9.6
61.2  14.7

Structural model:
```
data_Li4Cr5SbO12
_chemical_formula_sum 'Li4 Cr5 Sb1 O12'
_cell_length_a 5.2502
_cell_length_b 5.2502
_cell_length_c 10.4841
_cell_angle_alpha 94.38
_cell_angle_beta 94.38
_cell_angle_gamma 120.04
_space_group_name_H-M_alt 'P 1'
_space_group_IT_number 1
_space_group_name_Hall 'P 1'
loop_
_atom_site_label
_atom_site_fract_x
_atom_site_fract_y
_atom_site_fract_z
_atom_site_occupancy
Li1 0.0606 0.3974 0.2078 1
Li2 0.3974 0.0606 0.2078 1
Li3 0.6026 0.9394 0.7922 1
Li4 0.9394 0.6026 0.7922 1
Cr1 0.0000 0.0000 0.0000 1
Cr2 0.1652 0.8348 0.5000 1
Cr3 0.3368 0.6632 0.0000 1
Cr4 0.6632 0.3368 0.0000 1
Cr5 0.8348 0.1652 0.5000 1
Sb1 0.5000 0.5000 0.5000 1
O1 0.0435 0.6983 0.1030 1
O2 0.1373 0.4703 0.3998 1
O3 0.1986 0.1986 0.5961 1
O4 0.3017 0.9565 0.8970 1
O5 0.3537 0.3537 0.1039 1
O6 0.4703 0.1373 0.3998 1
O7 0.5297 0.8627 0.6002 1
O8 0.6463 0.6463 0.8961 1
O9 0.6983 0.0435 0.1030 1
O10 0.8014 0.8014 0.4039 1
O11 0.8627 0.5297 0.6002 1
O12 0.9565 0.3017 0.8970 1
```